[1]
Starting from a DFT-relaxed cell (GGA-PBE, Alexandria), the powder XRD pattern of K7Au3Cl was simulated for λ = 1.5418 Å (Cu Kα).

Crystal structure
```
data_K7Au3Cl
_symmetry_space_group_name_H-M 'C 1 m 1'
_symmetry_Int_Tables_number 8
_symmetry_space_group_name_Hall 'C -2y'
_cell_length_a 11.206
_cell_length_b 11.096
_cell_length_c 9.318
_cell_angle_alpha 90.00
_cell_angle_beta 125.02
_cell_angle_gamma 90.00
loop_
_atom_site_label
_atom_site_fract_x
_atom_site_fract_y
_atom_site_fract_z
K1 0.000 0.000 0.000
K2 0.034 0.500 0.281
K3 0.241 0.291 0.043
K4 0.308 0.000 0.627
K5 0.486 0.298 0.557
Au1 0.123 0.212 0.306
Au2 0.136 0.500 0.708
Cl1 0.193 0.000 0.866
```

Top 10 peaks for 15 to 90 degrees two-theta, low angle first:
- 2θ = 19.3°, I = 65, (2 0 0)
- 2θ = 19.8°, I = 100, (0 2 1)
- 2θ = 20.0°, I = 43, (2 0 -2)
- 2θ = 25.7°, I = 42, (2 2 -2)
- 2θ = 26.0°, I = 38, (1 3 0)
- 2θ = 28.7°, I = 27, (2 0 -3)
- 2θ = 31.1°, I = 37, (1 3 -2)
- 2θ = 32.3°, I = 76, (2 2 1)
- 2θ = 38.2°, I = 33, (3 3 0)
- 2θ = 38.9°, I = 33, (3 3 -3)



[2]
Starting from a DFT-relaxed cell (GGA-PBE, Alexandria), the powder XRD pattern of K7AuCl5 was simulated for λ = 1.5418 Å (Cu Kα).

Crystal structure
```
data_K7AuCl5
_symmetry_space_group_name_H-M 'C 1 2/m 1'
_symmetry_Int_Tables_number 12
_symmetry_space_group_name_Hall '-C 2y'
_cell_length_a 15.060
_cell_length_b 4.496
_cell_length_c 27.287
_cell_angle_alpha 90.00
_cell_angle_beta 90.07
_cell_angle_gamma 90.00
loop_
_atom_site_label
_atom_site_fract_x
_atom_site_fract_y
_atom_site_fract_z
K1 0.038 0.000 0.250
K2 0.090 0.500 0.394
K3 0.091 0.500 0.106
K4 0.136 0.000 0.535
K5 0.136 0.000 0.965
K6 0.181 0.500 0.675
K7 0.181 0.500 0.826
Au1 0.208 0.500 0.249
Cl1 0.000 0.500 0.000
Cl2 0.000 0.500 0.500
Cl3 0.042 0.000 0.861
Cl4 0.043 0.000 0.640
Cl5 0.227 0.000 0.071
Cl6 0.227 0.000 0.429
```

Top 10 peaks for 15 to 90 degrees two-theta, low angle first:
- 2θ = 22.8°, I = 54, (2 0 -6)
- 2θ = 25.7°, I = 55, (2 0 7)
- 2θ = 26.4°, I = 39, (1 1 -5)
- 2θ = 27.4°, I = 100, (3 1 2)
- 2θ = 28.4°, I = 98, (3 1 -3)
- 2θ = 30.9°, I = 36, (1 1 -7)
- 2θ = 36.2°, I = 44, (1 1 -9)
- 2θ = 38.3°, I = 33, (5 1 4)
- 2θ = 39.5°, I = 31, (6 0 5)
- 2θ = 40.1°, I = 39, (0 2 0)



[3]
Starting from a DFT-relaxed cell (GGA-PBE, Alexandria), the powder XRD pattern of KAu4Cl12 was simulated for λ = 1.5418 Å (Cu Kα).

Crystal structure
```
data_KAu4Cl12
_symmetry_space_group_name_H-M 'I m -3'
_symmetry_Int_Tables_number 204
_symmetry_space_group_name_Hall '-I 2 2 3'
_cell_length_a 9.707
_cell_length_b 9.707
_cell_length_c 9.707
_cell_angle_alpha 90.00
_cell_angle_beta 90.00
_cell_angle_gamma 90.00
loop_
_atom_site_label
_atom_site_fract_x
_atom_site_fract_y
_atom_site_fract_z
K1 0.000 0.000 0.000
Au1 0.250 0.250 0.250
Cl1 0.000 0.292 0.196
```

Top 10 peaks for 15 to 90 degrees two-theta, low angle first:
- 2θ = 18.3°, I = 100, (2 0 0)
- 2θ = 26.0°, I = 58, (2 2 0)
- 2θ = 37.0°, I = 28, (4 0 0)
- 2θ = 41.6°, I = 52, (4 2 0)
- 2θ = 45.8°, I = 39, (4 2 2)
- 2θ = 53.4°, I = 15, (4 4 0)
- 2θ = 56.9°, I = 22, (4 4 2)
- 2θ = 72.9°, I = 17, (6 2 4)
- 2θ = 81.8°, I = 14, (8 2 0)
- 2θ = 84.7°, I = 15, (8 2 2)



[4]
Starting from a DFT-relaxed cell (GGA-PBE, Alexandria), the powder XRD pattern of K2Au2Cl7 was simulated for λ = 1.5418 Å (Cu Kα).

Crystal structure
```
data_K2Au2Cl7
_symmetry_space_group_name_H-M 'C 1 2/m 1'
_symmetry_Int_Tables_number 12
_symmetry_space_group_name_Hall '-C 2y'
_cell_length_a 8.645
_cell_length_b 13.455
_cell_length_c 7.044
_cell_angle_alpha 90.00
_cell_angle_beta 93.63
_cell_angle_gamma 90.00
loop_
_atom_site_label
_atom_site_fract_x
_atom_site_fract_y
_atom_site_fract_z
K1 0.000 0.201 0.000
Au1 0.237 0.500 0.321
Cl1 0.000 0.500 0.500
Cl2 0.002 0.000 0.241
Cl3 0.227 0.327 0.293
```

Top 10 peaks for 15 to 90 degrees two-theta, low angle first:
- 2θ = 17.1°, I = 49, (1 1 -1)
- 2θ = 18.0°, I = 100, (1 1 1)
- 2θ = 18.3°, I = 24, (0 2 1)
- 2θ = 20.6°, I = 16, (2 0 0)
- 2θ = 25.4°, I = 18, (0 0 2)
- 2θ = 26.5°, I = 18, (0 4 0)
- 2θ = 28.8°, I = 20, (1 1 2)
- 2θ = 33.6°, I = 16, (3 1 -1)
- 2θ = 37.5°, I = 21, (1 5 1)
- 2θ = 39.8°, I = 14, (3 1 -2)



[5]
Starting from a DFT-relaxed cell (GGA-PBE, Alexandria), the powder XRD pattern of K6AuCl was simulated for λ = 1.5418 Å (Cu Kα).

Crystal structure
```
data_K6AuCl
_symmetry_space_group_name_H-M 'P -3 1 c'
_symmetry_Int_Tables_number 163
_symmetry_space_group_name_Hall '-P 3 2c'
_cell_length_a 8.0328
_cell_length_b 8.0328
_cell_length_c 15.4289
_cell_angle_alpha 90.00
_cell_angle_beta 90.00
_cell_angle_gamma 120.00
loop_
_atom_site_label
_atom_site_fract_x
_atom_site_fract_y
_atom_site_fract_z
K1 0.0021 0.3238 0.1239
Au1 0.3333 0.6667 0.2500
Cl1 0.0000 0.0000 0.0000
```

Top 10 peaks for 15 to 90 degrees two-theta, low angle first:
- 2θ = 17.2°, I = 62, (1 0 2)
- 2θ = 21.5°, I = 55, (1 0 3)
- 2θ = 25.0°, I = 100, (1 1 2)
- 2θ = 26.3°, I = 34, (2 0 1)
- 2θ = 31.0°, I = 24, (2 0 3)
- 2θ = 32.2°, I = 91, (2 -1 4)
- 2θ = 34.6°, I = 35, (2 1 1)
- 2θ = 38.5°, I = 26, (2 1 3)
- 2θ = 38.8°, I = 47, (3 0 0)
- 2θ = 41.7°, I = 24, (2 -1 6)



[6]
Starting from a DFT-relaxed cell (GGA-PBE, Alexandria), the powder XRD pattern of K2LaAuCl6 was simulated for λ = 1.5418 Å (Cu Kα).

Crystal structure
```
data_K2LaAuCl6
_symmetry_space_group_name_H-M 'F m -3 m'
_symmetry_Int_Tables_number 225
_symmetry_space_group_name_Hall '-F 4 2 3'
_cell_length_a 10.986
_cell_length_b 10.986
_cell_length_c 10.986
_cell_angle_alpha 90.00
_cell_angle_beta 90.00
_cell_angle_gamma 90.00
loop_
_atom_site_label
_atom_site_fract_x
_atom_site_fract_y
_atom_site_fract_z
K1 0.250 0.250 0.250
La1 0.000 0.000 0.000
Au1 0.000 0.000 0.500
Cl1 0.000 0.000 0.251
```

Top 10 peaks for 15 to 90 degrees two-theta, low angle first:
- 2θ = 16.1°, I = 100, (2 0 0)
- 2θ = 22.9°, I = 99, (2 2 0)
- 2θ = 32.6°, I = 69, (4 0 0)
- 2θ = 36.6°, I = 54, (4 2 0)
- 2θ = 40.2°, I = 47, (4 2 2)
- 2θ = 46.8°, I = 48, (4 4 0)
- 2θ = 49.8°, I = 28, (6 0 0)
- 2θ = 52.7°, I = 21, (6 2 0)
- 2θ = 63.4°, I = 25, (6 4 2)
- 2θ = 77.8°, I = 20, (8 4 0)



[7]
Starting from a DFT-relaxed cell (GGA-PBE, Alexandria), the powder XRD pattern of K2LuAuCl6 was simulated for λ = 1.5418 Å (Cu Kα).

Crystal structure
```
data_K2LuAuCl6
_symmetry_space_group_name_H-M 'F m -3 m'
_symmetry_Int_Tables_number 225
_symmetry_space_group_name_Hall '-F 4 2 3'
_cell_length_a 10.614
_cell_length_b 10.614
_cell_length_c 10.614
_cell_angle_alpha 90.00
_cell_angle_beta 90.00
_cell_angle_gamma 90.00
loop_
_atom_site_label
_atom_site_fract_x
_atom_site_fract_y
_atom_site_fract_z
K1 0.250 0.250 0.250
Lu1 0.000 0.000 0.000
Au1 0.000 0.000 0.500
Cl1 0.000 0.000 0.242
```

Top 10 peaks for 15 to 90 degrees two-theta, low angle first:
- 2θ = 16.7°, I = 100, (2 0 0)
- 2θ = 23.7°, I = 98, (2 2 0)
- 2θ = 33.8°, I = 62, (4 0 0)
- 2θ = 37.9°, I = 53, (4 2 0)
- 2θ = 41.7°, I = 45, (4 2 2)
- 2θ = 48.5°, I = 42, (4 4 0)
- 2θ = 51.7°, I = 27, (6 0 0)
- 2θ = 54.7°, I = 21, (6 2 0)
- 2θ = 65.8°, I = 24, (6 4 2)
- 2θ = 81.0°, I = 18, (8 4 0)



[8]
Starting from a DFT-relaxed cell (GGA-PBE, Alexandria), the powder XRD pattern of K9Au3ClO2 was simulated for λ = 1.5418 Å (Cu Kα).

Crystal structure
```
data_K9Au3ClO2
_symmetry_space_group_name_H-M 'P -3 m 1'
_symmetry_Int_Tables_number 164
_symmetry_space_group_name_Hall '-P 3 2"'
_cell_length_a 7.7757
_cell_length_b 7.7757
_cell_length_c 9.6330
_cell_angle_alpha 90.00
_cell_angle_beta 90.00
_cell_angle_gamma 120.00
loop_
_atom_site_label
_atom_site_fract_x
_atom_site_fract_y
_atom_site_fract_z
K1 0.0000 0.5000 0.0000
K2 0.1783 0.3566 0.3089
Au1 0.0000 0.0000 0.0000
Au2 0.3333 0.6667 0.6601
Cl1 0.0000 0.0000 0.5000
O1 0.3333 0.6667 0.1567
```

Top 10 peaks for 15 to 90 degrees two-theta, low angle first:
- 2θ = 16.1°, I = 66, (1 0 1)
- 2θ = 22.7°, I = 64, (0 1 2)
- 2θ = 22.9°, I = 61, (1 1 0)
- 2θ = 27.8°, I = 33, (0 0 3)
- 2θ = 28.1°, I = 100, (0 2 1)
- 2θ = 32.4°, I = 90, (2 0 2)
- 2θ = 40.1°, I = 29, (1 2 2)
- 2θ = 46.4°, I = 30, (0 2 4)
- 2θ = 46.7°, I = 31, (2 2 0)
- 2θ = 55.2°, I = 27, (2 2 3)



Copy entry 2 word for word.
Starting from a DFT-relaxed cell (GGA-PBE, Alexandria), the powder XRD pattern of K7AuCl5 was simulated for λ = 1.5418 Å (Cu Kα).

Crystal structure
```
data_K7AuCl5
_symmetry_space_group_name_H-M 'C 1 2/m 1'
_symmetry_Int_Tables_number 12
_symmetry_space_group_name_Hall '-C 2y'
_cell_length_a 15.060
_cell_length_b 4.496
_cell_length_c 27.287
_cell_angle_alpha 90.00
_cell_angle_beta 90.07
_cell_angle_gamma 90.00
loop_
_atom_site_label
_atom_site_fract_x
_atom_site_fract_y
_atom_site_fract_z
K1 0.038 0.000 0.250
K2 0.090 0.500 0.394
K3 0.091 0.500 0.106
K4 0.136 0.000 0.535
K5 0.136 0.000 0.965
K6 0.181 0.500 0.675
K7 0.181 0.500 0.826
Au1 0.208 0.500 0.249
Cl1 0.000 0.500 0.000
Cl2 0.000 0.500 0.500
Cl3 0.042 0.000 0.861
Cl4 0.043 0.000 0.640
Cl5 0.227 0.000 0.071
Cl6 0.227 0.000 0.429
```

Top 10 peaks for 15 to 90 degrees two-theta, low angle first:
- 2θ = 22.8°, I = 54, (2 0 -6)
- 2θ = 25.7°, I = 55, (2 0 7)
- 2θ = 26.4°, I = 39, (1 1 -5)
- 2θ = 27.4°, I = 100, (3 1 2)
- 2θ = 28.4°, I = 98, (3 1 -3)
- 2θ = 30.9°, I = 36, (1 1 -7)
- 2θ = 36.2°, I = 44, (1 1 -9)
- 2θ = 38.3°, I = 33, (5 1 4)
- 2θ = 39.5°, I = 31, (6 0 5)
- 2θ = 40.1°, I = 39, (0 2 0)



- Which formula does entry 3 have?
  KAu4Cl12



Copy entry 1 word for word.
Starting from a DFT-relaxed cell (GGA-PBE, Alexandria), the powder XRD pattern of K7Au3Cl was simulated for λ = 1.5418 Å (Cu Kα).

Crystal structure
```
data_K7Au3Cl
_symmetry_space_group_name_H-M 'C 1 m 1'
_symmetry_Int_Tables_number 8
_symmetry_space_group_name_Hall 'C -2y'
_cell_length_a 11.206
_cell_length_b 11.096
_cell_length_c 9.318
_cell_angle_alpha 90.00
_cell_angle_beta 125.02
_cell_angle_gamma 90.00
loop_
_atom_site_label
_atom_site_fract_x
_atom_site_fract_y
_atom_site_fract_z
K1 0.000 0.000 0.000
K2 0.034 0.500 0.281
K3 0.241 0.291 0.043
K4 0.308 0.000 0.627
K5 0.486 0.298 0.557
Au1 0.123 0.212 0.306
Au2 0.136 0.500 0.708
Cl1 0.193 0.000 0.866
```

Top 10 peaks for 15 to 90 degrees two-theta, low angle first:
- 2θ = 19.3°, I = 65, (2 0 0)
- 2θ = 19.8°, I = 100, (0 2 1)
- 2θ = 20.0°, I = 43, (2 0 -2)
- 2θ = 25.7°, I = 42, (2 2 -2)
- 2θ = 26.0°, I = 38, (1 3 0)
- 2θ = 28.7°, I = 27, (2 0 -3)
- 2θ = 31.1°, I = 37, (1 3 -2)
- 2θ = 32.3°, I = 76, (2 2 1)
- 2θ = 38.2°, I = 33, (3 3 0)
- 2θ = 38.9°, I = 33, (3 3 -3)